# 1
# Cu5Ag4
Calculated PXRD pattern, a wavelength of 1.5418 Å. Input: DFT lattice parameters and positions (GGA-PBE).
Kinematic intensities with the Lorentz-polarization factor, no thermal factor.

Structure:
```
data_Cu5Ag4
_chemical_formula_sum 'Cu10 Ag8'
_symmetry_space_group_name_H-M 'C 1 2 1'
_symmetry_Int_Tables_number 5
_symmetry_space_group_name_Hall 'C 2y'
_cell_length_a 4.707
_cell_length_b 8.309
_cell_length_c 6.691
_cell_angle_alpha 90.00
_cell_angle_beta 91.27
_cell_angle_gamma 90.00
loop_
_atom_site_label
_atom_site_type_symbol
_atom_site_fract_x
_atom_site_fract_y
_atom_site_fract_z
Cu1 Cu 0.000 0.000 0.000
Cu2 Cu 0.161 0.156 0.339
Cu3 Cu 0.170 0.504 0.339
Ag1 Ag 0.000 0.328 0.000
Ag2 Ag 0.000 0.656 0.000
Ag3 Ag 0.173 0.834 0.338
```

Principal peaks in the range 2θ from 10° to 80°, by intensity:
hkl 2 0 -1, 40.29°, I 100; hkl 1 3 -2, 46.49°, I 43; hkl 0 0 3, 40.45°, I 33; hkl 2 0 2, 47.76°, I 20; hkl 3 3 0, 68.78°, I 12; hkl 1 3 4, 68.92°, I 12; hkl 2 0 -4, 68.06°, I 7; hkl 0 6 0, 67.65°, I 6; hkl 1 1 1, 25.73°, I 6; hkl 1 1 -2, 34.29°, I 3

=====

# 2
# Na5HfAs3
Calculated PXRD pattern, a wavelength of 1.5418 Å. Input: DFT lattice parameters and positions (GGA-PBE).
Kinematic intensities with the Lorentz-polarization factor, no thermal factor.

Structure:
```
data_Na5HfAs3
_chemical_formula_sum 'Na20 Hf4 As12'
_symmetry_space_group_name_H-M 'P 1 21/c 1'
_symmetry_Int_Tables_number 14
_symmetry_space_group_name_Hall '-P 2ybc'
_cell_length_a 8.425
_cell_length_b 7.465
_cell_length_c 16.085
_cell_angle_alpha 90.00
_cell_angle_beta 121.07
_cell_angle_gamma 90.00
loop_
_atom_site_label
_atom_site_type_symbol
_atom_site_fract_x
_atom_site_fract_y
_atom_site_fract_z
Na1 Na 0.002 0.164 0.081
Na2 Na 0.082 0.008 0.762
Na3 Na 0.261 0.512 0.093
Na4 Na 0.320 0.656 0.743
Na5 Na 0.403 0.028 0.085
Hf1 Hf 0.339 0.143 0.414
As1 As 0.054 0.243 0.917
As2 As 0.340 0.710 0.930
As3 As 0.353 0.238 0.264
```

Principal peaks in the range 2θ from 10° to 80°, by intensity:
hkl 1 0 -2, 12.34°, I 100; hkl 3 0 -6, 37.70°, I 64; hkl 0 0 6, 39.24°, I 40; hkl 1 1 0, 17.09°, I 38; hkl 1 2 2, 32.64°, I 37; hkl 0 1 1, 13.49°, I 37; hkl 0 1 2, 17.52°, I 37; hkl 1 1 -1, 15.86°, I 37; hkl 1 3 -4, 42.70°, I 34; hkl 3 0 0, 37.38°, I 32

=====

# 3
# CsFe2Br5
Calculated PXRD pattern, a wavelength of 1.5418 Å. Input: DFT lattice parameters and positions (GGA-PBE).
Kinematic intensities with the Lorentz-polarization factor, no thermal factor.

Structure:
```
data_CsFe2Br5
_chemical_formula_sum 'Cs2 Fe4 Br10'
_symmetry_space_group_name_H-M 'P 1 21/m 1'
_symmetry_Int_Tables_number 11
_symmetry_space_group_name_Hall '-P 2yb'
_cell_length_a 8.637
_cell_length_b 5.732
_cell_length_c 11.552
_cell_angle_alpha 90.00
_cell_angle_beta 108.01
_cell_angle_gamma 90.00
loop_
_atom_site_label
_atom_site_type_symbol
_atom_site_fract_x
_atom_site_fract_y
_atom_site_fract_z
Cs1 Cs 0.001 0.250 0.228
Fe1 Fe 0.387 0.750 0.550
Fe2 Fe 0.481 0.750 0.198
Br1 Br 0.107 0.750 0.450
Br2 Br 0.193 0.750 0.111
Br3 Br 0.289 0.250 0.870
Br4 Br 0.408 0.250 0.564
Br5 Br 0.488 0.250 0.231
```

Principal peaks in the range 2θ from 10° to 80°, by intensity:
hkl 0 2 0, 31.21°, I 100; hkl 0 1 3, 28.93°, I 82; hkl 4 2 -2, 53.20°, I 55; hkl 0 0 3, 24.31°, I 53; hkl 2 0 -2, 22.66°, I 52; hkl 2 1 -2, 27.56°, I 43; hkl 4 0 -2, 41.94°, I 40; hkl 2 1 1, 29.86°, I 34; hkl 2 1 -1, 25.87°, I 32; hkl 0 2 3, 39.94°, I 28

=====

# 4
# ZrTeNO
Calculated PXRD pattern, a wavelength of 1.5418 Å. Input: DFT lattice parameters and positions (GGA-PBE).
Kinematic intensities with the Lorentz-polarization factor, no thermal factor.

Structure:
```
data_ZrTeNO
_chemical_formula_sum 'Zr2 Te2 N2 O2'
_symmetry_space_group_name_H-M 'P m c 21'
_symmetry_Int_Tables_number 26
_symmetry_space_group_name_Hall 'P 2c -2'
_cell_length_a 3.670
_cell_length_b 7.402
_cell_length_c 6.023
_cell_angle_alpha 90.00
_cell_angle_beta 90.00
_cell_angle_gamma 90.00
loop_
_atom_site_label
_atom_site_type_symbol
_atom_site_fract_x
_atom_site_fract_y
_atom_site_fract_z
Zr1 Zr 0.000 0.146 0.000
Te1 Te 0.500 0.461 0.649
N1 N 0.500 0.258 0.903
O1 O 0.000 0.077 0.318
```

Principal peaks in the range 2θ from 10° to 80°, by intensity:
hkl 1 1 0, 27.12°, I 100; hkl 0 2 1, 28.30°, I 42; hkl 0 1 2, 32.09°, I 39; hkl 0 1 1, 19.00°, I 32; hkl 1 1 1, 30.99°, I 28; hkl 1 0 2, 38.68°, I 28; hkl 1 3 1, 46.87°, I 22; hkl 0 1 0, 11.96°, I 19; hkl 1 1 2, 40.62°, I 19; hkl 1 2 2, 46.06°, I 19